Calculated PXRD pattern
Compound: ThTiIn2
Radiation: a wavelength of 1.5418 Å
Structure: a PBE-relaxed structure
Lines closer than 0.1° are merged.

Crystal structure
Lattice parameters (Å, degrees): 4.5428 4.5428 4.7444 90.00 90.00 90.00
Space group P4/mmm (No. 123)
Unique sites:
Th 0.0000 0.0000 0.0000
Ti 0.5000 0.5000 0.0000
In 0.0000 0.5000 0.5000

Top 8 peaks for 5 to 70 degrees two-theta, by angle:
19.54°, I = 22, hkl 1 0 0; 27.18°, I = 20, hkl 1 0 1; 33.70°, I = 100, hkl 1 1 1; 37.93°, I = 18, hkl 0 0 2; 39.68°, I = 32, hkl 2 0 0; 56.06°, I = 23, hkl 2 0 2; 65.82°, I = 14, hkl 1 1 3; 68.21°, I = 25, hkl 3 1 1